For NbRh3, a DFT-relaxed cell (GGA-PBE, the Materials Project) gives the simulated powder X-ray diffraction pattern in this record (Cu Kα).
No peak broadening, texture or thermal motion is included.

Atomic structure:
```
data_NbRh3
_cell_length_a 5.5448
_cell_length_b 5.5448
_cell_length_c 13.5072
_cell_angle_alpha 90.00
_cell_angle_beta 90.00
_cell_angle_gamma 120.00
_space_group_name_H-M_alt 'P 63/m m c'
_space_group_IT_number 194
_space_group_name_Hall '-P 6c 2c'
loop_
_atom_site_label
_atom_site_fract_x
_atom_site_fract_y
_atom_site_fract_z
Nb1 0.0000 0.0000 0.2500
Nb2 0.3333 0.6667 0.0893
Rh1 0.0077 0.5038 0.7500
Rh2 0.1660 0.3320 0.5825
```

Most intense lines, 2θ from 5° to 70°, in order of rising 2θ:
2theta, Rel. int., index
22.7, 0.6, 1 0 2
38.1, 35.4, 2 0 1
38.2, 0.7, 1 0 5
39.8, 90.4, 2 0 2
40.1, 59.8, 0 0 6
42.7, 100.0, 2 0 3
46.4, 59.9, 2 0 4
50.9, 13.6, 2 0 5
61.7, 9.0, 2 0 7
67.6, 37.1, 2 2 0
67.9, 17.4, 2 0 8

=====

For Nb3Rh, a DFT-relaxed cell (GGA-PBE, the Materials Project) gives the simulated powder X-ray diffraction pattern in this record (Cu Kα).
No peak broadening, texture or thermal motion is included.

Atomic structure:
```
data_Nb3Rh
_cell_length_a 5.186
_cell_length_b 5.186
_cell_length_c 5.186
_cell_angle_alpha 90.00
_cell_angle_beta 90.00
_cell_angle_gamma 90.00
_space_group_name_H-M_alt 'P m -3 n'
_space_group_IT_number 223
_space_group_name_Hall '-P 4n 2 3'
loop_
_atom_site_label
_atom_site_fract_x
_atom_site_fract_y
_atom_site_fract_z
Nb1 0.000 0.250 0.500
Rh1 0.000 0.000 0.000
```

Most intense lines, 2θ from 5° to 70°, in order of rising 2θ:
2theta, Rel. int., index
34.6, 38.4, 2 0 0
38.8, 100.0, 2 1 0
42.7, 84.4, 2 1 1
62.0, 7.3, 2 2 2
64.8, 21.3, 3 2 0
67.6, 41.7, 3 2 1

=====

For NbRh3, a DFT-relaxed cell (GGA-PBE, the Materials Project) gives the simulated powder X-ray diffraction pattern in this record (Cu Kα).
No peak broadening, texture or thermal motion is included.

Atomic structure:
```
data_NbRh3
_cell_length_a 5.5586
_cell_length_b 5.5586
_cell_length_c 4.4603
_cell_angle_alpha 90.00
_cell_angle_beta 90.00
_cell_angle_gamma 120.00
_space_group_name_H-M_alt 'P 63/m m c'
_space_group_IT_number 194
_space_group_name_Hall '-P 6c 2c'
loop_
_atom_site_label
_atom_site_fract_x
_atom_site_fract_y
_atom_site_fract_z
Nb1 0.3333 0.6667 0.2500
Rh1 0.1644 0.3287 0.7500
```

Most intense lines, 2θ from 5° to 70°, in order of rising 2θ:
2theta, Rel. int., index
37.4, 24.4, 2 0 0
40.4, 26.0, 0 0 2
42.7, 100.0, 2 0 1
56.2, 14.6, 2 0 2
67.4, 16.6, 2 2 0

=====

For Nb4Rh, a DFT-relaxed cell (GGA-PBE, the Materials Project) gives the simulated powder X-ray diffraction pattern in this record (Cu Kα).
No peak broadening, texture or thermal motion is included.

Atomic structure:
```
data_Nb4Rh
_cell_length_a 3.385
_cell_length_b 4.569
_cell_length_c 22.575
_cell_angle_alpha 90.00
_cell_angle_beta 90.00
_cell_angle_gamma 90.00
_space_group_name_H-M_alt 'F m m m'
_space_group_IT_number 69
_space_group_name_Hall '-F 2 2'
loop_
_atom_site_label
_atom_site_fract_x
_atom_site_fract_y
_atom_site_fract_z
Nb1 0.000 0.000 0.093
Nb2 0.000 0.000 0.303
Rh1 0.000 0.000 0.500
```

Most intense lines, 2θ from 5° to 70°, in order of rising 2θ:
2theta, Rel. int., index
7.8, 3.6, 0 0 2
31.7, 0.8, 0 0 8
38.6, 100.0, 1 1 5
39.4, 24.0, 0 2 0
39.9, 21.5, 0 0 10
43.5, 1.6, 1 1 7
54.2, 9.3, 2 0 0
57.4, 14.5, 0 2 10
63.6, 1.1, 1 1 13
64.1, 0.8, 0 2 12
69.1, 8.8, 2 2 0
69.4, 8.1, 2 0 10

=====

For NbRh3, a DFT-relaxed cell (GGA-PBE, the Materials Project) gives the simulated powder X-ray diffraction pattern in this record (Cu Kα).
No peak broadening, texture or thermal motion is included.

Atomic structure:
```
data_NbRh3
_cell_length_a 3.911
_cell_length_b 3.911
_cell_length_c 3.911
_cell_angle_alpha 90.00
_cell_angle_beta 90.00
_cell_angle_gamma 90.00
_space_group_name_H-M_alt 'P m -3 m'
_space_group_IT_number 221
_space_group_name_Hall '-P 4 2 3'
loop_
_atom_site_label
_atom_site_fract_x
_atom_site_fract_y
_atom_site_fract_z
Nb1 0.000 0.000 0.000
Rh1 0.000 0.500 0.500
```

Most intense lines, 2θ from 5° to 70°, in order of rising 2θ:
2theta, Rel. int., index
39.9, 100.0, 1 1 1
46.4, 48.3, 2 0 0
67.8, 30.3, 2 2 0

=====

For Nb3RhSe6, a DFT-relaxed cell (GGA-PBE, the Materials Project) gives the simulated powder X-ray diffraction pattern in this record (Cu Kα).
No peak broadening, texture or thermal motion is included.

Atomic structure:
```
data_Nb3RhSe6
_cell_length_a 6.0674
_cell_length_b 6.0674
_cell_length_c 12.7174
_cell_angle_alpha 90.00
_cell_angle_beta 90.00
_cell_angle_gamma 120.00
_space_group_name_H-M_alt 'P 63 2 2'
_space_group_IT_number 182
_space_group_name_Hall 'P 6c 2c'
loop_
_atom_site_label
_atom_site_fract_x
_atom_site_fract_y
_atom_site_fract_z
Nb1 0.0000 0.0000 0.0000
Nb2 0.3333 0.6667 0.0005
Rh1 0.3333 0.6667 0.7500
Se1 0.0046 0.3327 0.3684
```

Most intense lines, 2θ from 5° to 70°, in order of rising 2θ:
2theta, Rel. int., index
13.9, 13.3, 0 0 2
18.3, 15.5, 1 0 1
29.4, 7.6, 1 1 0
30.3, 46.5, 1 1 1
32.7, 19.5, 1 1 2
36.4, 38.1, 1 1 3
41.1, 100.0, 1 1 4
46.6, 9.0, 1 1 5
52.2, 47.1, 3 0 0
58.0, 10.7, 0 0 8
59.3, 11.2, 1 1 7
68.5, 21.3, 2 2 4

=====

For NbSiRu2, a DFT-relaxed cell (GGA-PBE, the Materials Project) gives the simulated powder X-ray diffraction pattern in this record (Cu Kα).
No peak broadening, texture or thermal motion is included.

Atomic structure:
```
data_NbSiRu2
_cell_length_a 6.146
_cell_length_b 6.146
_cell_length_c 6.146
_cell_angle_alpha 90.00
_cell_angle_beta 90.00
_cell_angle_gamma 90.00
_space_group_name_H-M_alt 'F m -3 m'
_space_group_IT_number 225
_space_group_name_Hall '-F 4 2 3'
loop_
_atom_site_label
_atom_site_fract_x
_atom_site_fract_y
_atom_site_fract_z
Nb1 0.000 0.000 0.000
Si1 0.000 0.000 0.500
Ru1 0.250 0.250 0.250
```

Most intense lines, 2θ from 5° to 70°, in order of rising 2θ:
2theta, Rel. int., index
25.1, 10.5, 1 1 1
29.1, 8.2, 2 0 0
41.6, 100.0, 2 2 0
49.2, 5.1, 3 1 1
51.5, 2.2, 2 2 2
60.2, 16.3, 4 0 0
66.3, 2.0, 3 3 1
68.2, 2.8, 4 2 0

=====

For Ta2NbRu, a DFT-relaxed cell (GGA-PBE, the Materials Project) gives the simulated powder X-ray diffraction pattern in this record (Cu Kα).
No peak broadening, texture or thermal motion is included.

Atomic structure:
```
data_Ta2NbRu
_cell_length_a 6.470
_cell_length_b 6.470
_cell_length_c 6.470
_cell_angle_alpha 90.00
_cell_angle_beta 90.00
_cell_angle_gamma 90.00
_space_group_name_H-M_alt 'F m -3 m'
_space_group_IT_number 225
_space_group_name_Hall '-F 4 2 3'
loop_
_atom_site_label
_atom_site_fract_x
_atom_site_fract_y
_atom_site_fract_z
Ta1 0.250 0.250 0.250
Nb1 0.000 0.000 0.000
Ru1 0.000 0.000 0.500
```

Most intense lines, 2θ from 5° to 70°, in order of rising 2θ:
2theta, Rel. int., index
27.6, 10.0, 2 0 0
39.4, 100.0, 2 2 0
48.8, 3.1, 2 2 2
56.9, 17.1, 4 0 0
64.4, 4.2, 4 2 0

=====

What did the fifth record say?
For NbRh3, a DFT-relaxed cell (GGA-PBE, the Materials Project) gives the simulated powder X-ray diffraction pattern in this record (Cu Kα).
No peak broadening, texture or thermal motion is included.

Atomic structure:
```
data_NbRh3
_cell_length_a 3.911
_cell_length_b 3.911
_cell_length_c 3.911
_cell_angle_alpha 90.00
_cell_angle_beta 90.00
_cell_angle_gamma 90.00
_space_group_name_H-M_alt 'P m -3 m'
_space_group_IT_number 221
_space_group_name_Hall '-P 4 2 3'
loop_
_atom_site_label
_atom_site_fract_x
_atom_site_fract_y
_atom_site_fract_z
Nb1 0.000 0.000 0.000
Rh1 0.000 0.500 0.500
```

Most intense lines, 2θ from 5° to 70°, in order of rising 2θ:
2theta, Rel. int., index
39.9, 100.0, 1 1 1
46.4, 48.3, 2 0 0
67.8, 30.3, 2 2 0